Computed X-ray diffraction stick pattern
Compound: Ba2AlFe3O8
Radiation: Cu Kα (λ = 1.5418 Å)
Structure: the GGA+U geometry in Alexandria
No peak broadening, texture or thermal motion is included.

Largest 10 diffraction maxima, by intensity, 15° ≤ 2θ ≤ 90°:
2θ = 32.12°, intensity 100, hkl 1 0 3
2θ = 32.69°, intensity 41, hkl 1 1 0
2θ = 57.99°, intensity 36, hkl 2 1 3
2θ = 46.91°, intensity 31, hkl 2 0 0
2θ = 56.90°, intensity 22, hkl 1 1 6
2θ = 39.85°, intensity 12, hkl 1 1 3
2θ = 67.19°, intensity 12, hkl 2 0 6
2θ = 24.14°, intensity 11, hkl 1 0 1
2θ = 45.21°, intensity 10, hkl 0 0 6
2θ = 36.03°, intensity 10, hkl 1 1 2

Structure:
abc: 3.874 3.874 12.033
angles: 90.00 90.00 90.00
Space group P4/mmm (No. 123)
One atom of each set of equivalent atoms:
Ba  0.000  0.000  0.167
Al  0.000  0.000  0.500
Fe  0.500  0.500  0.000
Fe  0.500  0.500  0.351
O  0.000  0.500  0.000
O  0.000  0.500  0.397
O  0.500  0.500  0.193